# Li2V3WO8
Calculated powder X-ray diffraction pattern, Cu Kα (λ = 1.5418 Å). Input: a DFT-relaxed cell (PBE+U, Alexandria).
Kinematic intensities with the Lorentz-polarization factor, no thermal factor.

Atomic structure:
```
data_Li2V3WO8
_symmetry_space_group_name_H-M 'P 63 m c'
_symmetry_Int_Tables_number 186
_symmetry_space_group_name_Hall 'P 6c -2c'
_cell_length_a 5.9698
_cell_length_b 5.9698
_cell_length_c 9.8259
_cell_angle_alpha 90.00
_cell_angle_beta 90.00
_cell_angle_gamma 120.00
loop_
_atom_site_label
_atom_site_fract_x
_atom_site_fract_y
_atom_site_fract_z
Li1 0.0000 0.0000 0.0000
Li2 0.3333 0.6667 0.4031
V1 0.1688 0.3376 0.7168
W1 0.3333 0.6667 0.9895
O1 0.0000 0.0000 0.3158
O2 0.0364 0.5182 0.8440
O3 0.1649 0.3297 0.1062
O4 0.3333 0.6667 0.6099
```

The 10 most intense peaks (2θ = 10–90°), by angle:
- (1 0 1), 2θ 19.40, rel. 100
- (1 0 2), 2θ 25.00, rel. 28
- (1 0 3), 2θ 32.36, rel. 34
- (1 1 2), 2θ 35.18, rel. 48
- (2 0 1), 2θ 35.92, rel. 21
- (2 0 3), 2θ 44.66, rel. 19
- (2 1 1), 2θ 47.44, rel. 16
- (2 1 3), 2θ 54.70, rel. 18
- (2 0 5), 2θ 59.05, rel. 19
- (2 2 0), 2θ 62.20, rel. 16